Diffraction record for MgSb2. The powder diffraction line list is computed, not measured: it uses a crystal structure in the Materials Project, relaxed with PBE and Cu Ka.
No peak broadening, texture or thermal motion is included.

Cell lengths 6.495, 6.495, 8.230 Å; angles 100.51, 100.51, 28.72 degrees
Fractional positions:
1 Mg 0.132 0.132 0.493
2 Mg 0.868 0.868 0.507
3 Sb 0.262 0.262 0.210
4 Sb 0.499 0.499 0.209
5 Sb 0.501 0.501 0.791
6 Sb 0.738 0.738 0.790

Main lines, low angle first (10 to 90 degrees two-theta):
Position (°2θ)  I/Imax
21.99  100.0
28.63  38.0
28.90  84.5
31.24  68.3
33.01  52.0
33.25  37.2
35.52  59.0
39.92  37.4
46.25  48.9
48.47  24.4

Diffraction record for Ba6MgNb2IrCl2O12. The powder diffraction line list is computed, not measured: it uses a crystal structure in the Materials Project, relaxed with PBE and Cu Ka.
No peak broadening, texture or thermal motion is included.

Cell lengths 5.987, 5.987, 15.428 Å; angles 96.44, 96.44, 60.29 degrees
Fractional positions:
1 Ba 0.000 0.000 0.000
2 Ba 0.259 0.259 0.580
3 Ba 0.306 0.306 0.844
4 Ba 0.531 0.531 0.239
5 Ba 0.899 0.899 0.420
6 Ba 0.949 0.949 0.715
7 Mg 0.216 0.216 0.336
8 Nb 0.574 0.574 0.462
9 Nb 0.635 0.635 0.821
10 Ir 0.604 0.604 0.632
11 Cl 0.392 0.392 0.046
12 Cl 0.876 0.876 0.207
13 O 0.276 0.747 0.545
14 O 0.316 0.811 0.875
15 O 0.402 0.402 0.383
16 O 0.404 0.877 0.385
17 O 0.465 0.465 0.718
18 O 0.467 0.922 0.720
19 O 0.747 0.276 0.545
20 O 0.747 0.747 0.548
21 O 0.809 0.809 0.878
22 O 0.811 0.316 0.875
23 O 0.877 0.404 0.385
24 O 0.922 0.467 0.720

Main lines, low angle first (10 to 90 degrees two-theta):
Position (°2θ)  I/Imax
23.65  22.2
25.28  31.8
27.21  22.7
28.06  36.2
29.72  75.9
29.95  100.0
30.05  70.9
40.73  24.7
52.91  34.4
62.02  25.3

Diffraction record for TbMgNi. The powder diffraction line list is computed, not measured: it uses a crystal structure in the Materials Project, relaxed with PBE and Cu Ka.
No peak broadening, texture or thermal motion is included.

Cell lengths 9.008, 9.008, 3.959 Å; angles 90.00, 90.00, 156.42 degrees
Fractional positions:
1 Tb 0.087 0.913 0.750
2 Tb 0.913 0.087 0.250
3 Mg 0.298 0.702 0.750
4 Mg 0.702 0.298 0.250
5 Ni 0.457 0.543 0.750
6 Ni 0.543 0.457 0.250

Main lines, low angle first (10 to 90 degrees two-theta):
Position (°2θ)  I/Imax
10.03  100.0
24.67  27.8
30.38  28.0
33.63  31.5
35.24  30.9
36.67  57.8
42.19  18.4
45.84  13.3
47.19  13.6
59.13  17.6

Diffraction record for Cs4KLiGa2F12. The powder diffraction line list is computed, not measured: it uses a crystal structure in the Materials Project, relaxed with PBE and Cu Ka.
No peak broadening, texture or thermal motion is included.

Cell lengths 11.057, 11.057, 11.057 Å; angles 33.83, 33.83, 33.83 degrees
Fractional positions:
1 Cs 0.133 0.133 0.133
2 Cs 0.286 0.286 0.286
3 Cs 0.714 0.714 0.714
4 Cs 0.867 0.867 0.867
5 K 0.000 0.000 0.000
6 Li 0.500 0.500 0.500
7 Ga 0.416 0.416 0.416
8 Ga 0.584 0.584 0.584
9 F 0.182 0.592 0.592
10 F 0.239 0.239 0.668
11 F 0.239 0.668 0.239
12 F 0.332 0.761 0.761
13 F 0.408 0.408 0.818
14 F 0.408 0.818 0.408
15 F 0.592 0.182 0.592
16 F 0.592 0.592 0.182
17 F 0.668 0.239 0.239
18 F 0.761 0.332 0.761
19 F 0.761 0.761 0.332
20 F 0.818 0.408 0.408

Main lines, low angle first (10 to 90 degrees two-theta):
Position (°2θ)  I/Imax
25.57  100.0
27.73  90.6
35.27  15.9
38.08  63.9
43.70  13.8
47.75  29.6
49.04  16.7
57.27  19.5
60.44  14.2
63.73  17.9

Repeat the third record exactly.
Diffraction record for TbMgNi. The powder diffraction line list is computed, not measured: it uses a crystal structure in the Materials Project, relaxed with PBE and Cu Ka.
No peak broadening, texture or thermal motion is included.

Cell lengths 9.008, 9.008, 3.959 Å; angles 90.00, 90.00, 156.42 degrees
Fractional positions:
1 Tb 0.087 0.913 0.750
2 Tb 0.913 0.087 0.250
3 Mg 0.298 0.702 0.750
4 Mg 0.702 0.298 0.250
5 Ni 0.457 0.543 0.750
6 Ni 0.543 0.457 0.250

Main lines, low angle first (10 to 90 degrees two-theta):
Position (°2θ)  I/Imax
10.03  100.0
24.67  27.8
30.38  28.0
33.63  31.5
35.24  30.9
36.67  57.8
42.19  18.4
45.84  13.3
47.19  13.6
59.13  17.6